Simulated powder diffraction line list of Ho3Ni for Cu Kα (weighted mean of Kα1 and Kα2), from a GGA-PBE-relaxed structure.

Cell and atoms:
a = 6.807 Å, b = 9.535 Å, c = 6.263 Å
α = 90.00°, β = 90.00°, γ = 90.00°
Positions (direct):
Ho  0.034  0.250  0.141
Ho  0.178  0.066  0.679
Ho  0.178  0.434  0.679
Ho  0.322  0.566  0.179
Ho  0.322  0.934  0.179
Ho  0.466  0.750  0.641
Ho  0.534  0.250  0.359
Ho  0.678  0.066  0.821
Ho  0.678  0.434  0.821
Ho  0.822  0.566  0.321
Ho  0.822  0.934  0.321
Ho  0.966  0.750  0.859
Ni  0.109  0.750  0.446
Ni  0.391  0.250  0.946
Ni  0.609  0.750  0.054
Ni  0.891  0.250  0.554

Most intense lines, 15 to 90 degrees two-theta, low angle first:
h k l, two_theta, I (rel.)
1 0 2, 31.4, 855
0 3 1, 31.6, 1000
2 2 0, 32.3, 566
1 1 2, 32.9, 665
1 3 1, 34.3, 494
2 2 1, 35.4, 521
2 3 0, 38.8, 225
1 2 3, 49.5, 263
1 3 3, 54.3, 234
0 6 0, 58.0, 458